The following is a theoretical powder X-ray diffraction pattern of ZrV2O7. It was derived from a crystal structure in Alexandria, relaxed with PBE+U, using copper Kα.
Neutral-atom scattering factors, no anomalous dispersion.

Structure:
```
ZrV2O7
1.0
9.058 0.000 0.000
0.000 9.058 0.000
0.000 0.000 9.058
Zr V O
4 8 28
Cartesian
0.000 0.000 0.000
0.000 4.529 4.529
4.529 0.000 4.529
4.529 4.529 0.000
1.034 5.563 8.024
1.034 8.024 3.495
3.495 1.034 8.024
3.495 3.495 3.495
5.563 5.563 5.563
5.563 8.024 1.034
8.024 1.034 5.563
8.024 3.495 1.034
0.000 0.000 4.529
0.000 4.529 0.000
0.577 6.381 3.711
0.577 7.206 8.240
0.818 5.106 6.381
0.818 8.481 1.852
1.852 0.818 8.481
1.852 3.711 3.952
2.677 5.347 8.481
2.677 8.240 3.952
3.711 0.577 6.381
3.711 3.952 1.852
3.952 1.852 3.711
3.952 2.677 8.240
4.529 0.000 0.000
4.529 4.529 4.529
5.106 6.381 0.818
5.106 7.206 5.347
5.347 5.106 7.206
5.347 8.481 2.677
6.381 0.818 5.106
6.381 3.711 0.577
7.206 5.347 5.106
7.206 8.240 0.577
8.240 0.577 7.206
8.240 3.952 2.677
8.481 1.852 0.818
8.481 2.677 5.347
```

Peak list (8 most intense, 2θ = 5–70°, by angle)
2θ/deg  d [Å]  Rel. int.  index
17.0  5.230  31  1 1 1
19.6  4.529  100  2 0 0
21.9  4.051  73  2 1 0
24.1  3.698  62  2 1 1
27.9  3.202  37  2 2 0
32.8  2.731  47  3 1 1
44.7  2.025  27  4 0 2
52.5  1.743  34  5 1 1